Entry 1:
Hf5Zr2Sb5: calculated powder X-ray diffraction pattern (CuKα), based on the PBE geometry in Alexandria.
Kinematic intensities with the Lorentz-polarization factor, no thermal factor.

Structure:
abc: 14.222 3.924 11.017
angles: 90.00 118.23 90.00
Space group C2/m (No. 12)
Symmetry-distinct sites (fractional):
1 Hf 0.000 0.000 0.000 x2
2 Hf 0.124 0.000 0.765 x4
3 Hf 0.163 0.000 0.501 x4
4 Zr 0.064 0.500 0.258 x4
5 Sb 0.000 0.500 0.500 x2
6 Sb 0.149 0.500 0.987 x4
7 Sb 0.224 0.000 0.270 x4

Peak list (6 most intense, 2θ = 5–70°, sorted by position)
34.48 deg, I 100
35.48 deg, I 89
37.04 deg, I 45
38.01 deg, I 21
46.28 deg, I 26
60.70 deg, I 21

***

Entry 2:
Hf2ZrSb: calculated powder X-ray diffraction pattern (CuKα), based on the PBE geometry in Alexandria.
Kinematic intensities with the Lorentz-polarization factor, no thermal factor.

Structure:
abc: 4.190 4.203 10.520
angles: 90.00 101.38 90.00
Space group P2_1/m (No. 11)
Symmetry-distinct sites (fractional):
1 Hf 0.055 0.250 0.111 x2
2 Hf 0.444 0.250 0.888 x2
3 Zr 0.192 0.750 0.389 x2
4 Sb 0.338 0.750 0.672 x2

Peak list (6 most intense, 2θ = 5–70°, sorted by position)
8.57 deg, I 61
32.88 deg, I 73
34.80 deg, I 28
37.33 deg, I 100
43.05 deg, I 23
43.18 deg, I 23

***

Entry 3:
Hf5Zr5Sb6: calculated powder X-ray diffraction pattern (CuKα), based on the PBE geometry in Alexandria.
Kinematic intensities with the Lorentz-polarization factor, no thermal factor.

Structure:
abc: 5.749 14.411 8.600
angles: 90.00 90.00 90.00
Space group Amm2 (No. 38)
Symmetry-distinct sites (fractional):
1 Hf 0.000 0.000 0.000 x2
2 Hf 0.250 0.168 0.239 x8
3 Zr 0.000 0.119 0.620 x4
4 Zr 0.500 0.000 0.473 x2
5 Zr 0.500 0.122 0.861 x4
6 Sb 0.000 0.000 0.348 x2
7 Sb 0.000 0.195 0.936 x4
8 Sb 0.500 0.000 0.127 x2
9 Sb 0.500 0.194 0.543 x4

Peak list (6 most intense, 2θ = 5–70°, sorted by position)
11.98 deg, I 43
35.54 deg, I 40
36.46 deg, I 100
37.44 deg, I 29
37.64 deg, I 48
37.95 deg, I 86